For Mo2As4Os, a DFT-relaxed cell (PBE, Alexandria) gives the theoretical powder X-ray diffraction pattern in this record (Cu Kα).
Intensities are scaled so that the largest is 100.

Peak list (8 most intense, 2θ = 15–90°, low angle first)
| Position (°2θ) | I/Imax | hkl |
| --- | --- | --- |
| 25.9 | 78 | 1 1 0 |
| 37.0 | 100 | 2 0 0 |
| 39.9 | 25 | 2 0 2 |
| 40.8 | 91 | 1 0 5 |
| 53.3 | 34 | 2 2 0 |
| 56.3 | 70 | 2 1 5 |
| 69.3 | 19 | 3 0 5 |
| 81.2 | 25 | 3 2 5 |

Atomic structure:
Lattice parameters (Å, degrees): 4.858 4.858 12.407 90.00 90.00 90.00
Space group I4/mmm (No. 139)
Asymmetric unit:
Mo 0.000 0.000 0.100
As 0.000 0.000 0.296
As 0.000 0.500 0.000
Os 0.000 0.000 0.500